(1)
# Rb2TcHgO4
Theoretical powder diffractogram, Cu Ka. Input: a structure optimized by DFT (GGA-PBE).

Largest 10 diffraction maxima, low angle first, 2θ = 15–90°:
d [Å]  two_theta  intensity  hkl
5.314  16.68  21  1 0 1
3.850  23.10  93  2 0 0
3.118  28.63  18  2 1 1
3.044  29.34  100  1 1 2
2.722  32.90  36  2 2 0
2.029  44.66  68  1 3 2
1.722  53.20  20  4 2 0
1.657  55.45  17  2 0 4
1.627  56.57  16  3 3 2
1.397  67.01  20  1 5 2

Crystal structure
abc: 7.699 7.699 7.343
angles: 90.00 90.00 90.00
Space group I-4 (No. 82)
Unique sites:
Rb (0.000, 0.000, 0.000) [2 per cell]
Rb (0.000, 0.500, 0.250) [2 per cell]
Tc (0.000, 0.500, 0.750) [2 per cell]
Hg (0.000, 0.000, 0.500) [2 per cell]
O (0.092, 0.338, 0.898) [8 per cell]



(2)
# LiHf8N8O4
Theoretical powder diffractogram, Cu Ka. Input: a structure optimized by DFT (GGA-PBE).

Largest 10 diffraction maxima, low angle first, 2θ = 15–90°:
d [Å]  two_theta  intensity  hkl
3.931  22.62  42  1 1 -1
3.080  28.99  65  0 1 -2
2.962  30.18  100  1 1 3
2.844  31.46  85  1 0 -3
2.789  32.09  53  -1 1 1
2.755  32.50  36  1 -1 0
2.719  32.94  74  1 2 1
2.700  33.18  83  2 1 0
2.523  35.58  33  0 0 4
1.965  46.19  60  2 2 -2

Crystal structure
abc: 5.413 5.446 10.411
angles: 76.38 87.08 62.13
Space group P1 (No. 1)
Unique sites:
Li (0.000, 0.000, 0.000) [1 per cell]
Hf (0.269, 0.419, 0.037) [1 per cell]
Hf (0.292, 0.326, 0.341) [1 per cell]
Hf (0.342, 0.105, 0.776) [1 per cell]
Hf (0.570, 0.775, 0.096) [1 per cell]
Hf (0.615, 0.600, 0.513) [1 per cell]
Hf (0.668, 0.448, 0.811) [1 per cell]
Hf (0.932, 0.016, 0.281) [1 per cell]
Hf (0.961, 0.916, 0.589) [1 per cell]
N (0.223, 0.716, 0.177) [1 per cell]
N (0.238, 0.957, 0.428) [1 per cell]
N (0.377, 0.733, 0.924) [1 per cell]
N (0.537, 0.089, 0.199) [1 per cell]
N (0.593, 0.115, 0.933) [1 per cell]
N (0.633, 0.826, 0.668) [1 per cell]
N (0.651, 0.259, 0.432) [1 per cell]
N (0.947, 0.217, 0.676) [1 per cell]
O (0.019, 0.354, 0.917) [1 per cell]
O (0.334, 0.513, 0.669) [1 per cell]
O (0.932, 0.403, 0.174) [1 per cell]
O (0.944, 0.646, 0.423) [1 per cell]



(3)
# HfMn3Cl
Theoretical powder diffractogram, Cu Ka. Input: a structure optimized by DFT (GGA-PBE).

Largest 10 diffraction maxima, low angle first, 2θ = 15–90°:
d [Å]  two_theta  intensity  hkl
4.938  17.97  100  1 0 0
3.491  25.51  56  1 1 0
2.469  36.39  66  2 0 0
2.208  40.87  52  2 1 0
2.016  44.97  24  2 1 1
1.746  52.41  44  2 2 0
1.646  55.86  26  3 0 0
1.425  65.48  15  2 2 2
1.198  80.15  14  4 1 0
1.104  88.57  19  4 2 0

Crystal structure
abc: 4.938 4.938 4.938
angles: 90.00 90.00 90.00
Space group Pm-3m (No. 221)
Unique sites:
Hf (0.000, 0.000, 0.000) [1 per cell]
Mn (0.000, 0.000, 0.500) [3 per cell]
Cl (0.500, 0.500, 0.500) [1 per cell]



(4)
# Na2TbAlS4
Theoretical powder diffractogram, Cu Ka. Input: a structure optimized by DFT (GGA-PBE).

Largest 10 diffraction maxima, low angle first, 2θ = 15–90°:
d [Å]  two_theta  intensity  hkl
5.527  16.04  35  0 2 0
3.366  26.48  46  1 1 1
3.306  26.97  22  1 3 -1
2.763  32.40  52  0 4 0
2.735  32.74  100  4 0 -2
2.550  35.19  22  1 3 1
2.451  36.66  22  0 2 2
1.944  46.73  68  4 4 -2
1.872  48.64  26  4 0 -4
1.622  56.75  21  4 4 0

Crystal structure
abc: 10.967 11.054 7.483
angles: 90.00 133.03 90.00
Space group C2/c (No. 15)
Unique sites:
Na (0.000, 0.000, 0.000) [4 per cell]
Na (0.250, 0.250, 0.000) [4 per cell]
Tb (0.250, 0.250, 0.500) [4 per cell]
Al (0.000, 0.500, 0.000) [4 per cell]
S (0.000, 0.267, 0.004) [8 per cell]
S (0.208, 0.499, 0.456) [8 per cell]



(5)
# Cd2BiMo2
Theoretical powder diffractogram, Cu Ka. Input: a structure optimized by DFT (GGA-PBE).

Largest 10 diffraction maxima, low angle first, 2θ = 15–90°:
d [Å]  two_theta  intensity  hkl
4.474  19.85  16  0 0 1
3.309  26.95  26  1 1 1
2.745  32.63  73  2 0 1
2.553  35.15  100  2 1 1
2.458  36.56  17  2 2 0
2.237  40.32  36  0 0 2
2.198  41.06  59  3 1 0
1.973  46.00  17  3 1 1
1.568  58.91  40  3 1 2
1.304  72.48  19  5 1 1

Crystal structure
abc: 6.951 6.951 4.474
angles: 90.00 90.00 90.00
Space group P4/mbm (No. 127)
Unique sites:
Cd (0.167, 0.333, 0.000) [4 per cell]
Bi (0.000, 0.000, 0.500) [2 per cell]
Mo (0.120, 0.620, 0.500) [4 per cell]



(6)
# AlBiC2
Theoretical powder diffractogram, Cu Ka. Input: a structure optimized by DFT (GGA-PBE).

Largest 10 diffraction maxima, low angle first, 2θ = 15–90°:
d [Å]  two_theta  intensity  hkl
4.453  19.94  78  1 0 1
2.879  31.07  100  1 1 2
2.777  32.23  28  1 0 3
2.512  35.74  14  0 0 4
2.483  36.17  28  2 0 0
2.169  41.64  28  2 1 1
1.851  49.22  16  2 1 3
1.766  51.76  28  2 0 4
1.512  61.32  15  1 1 6
1.499  61.90  29  3 1 2

Crystal structure
abc: 4.967 4.967 10.050
angles: 90.00 90.00 90.00
Space group I-42d (No. 122)
Unique sites:
Al (0.000, 0.000, 0.000) [4 per cell]
Bi (0.000, 0.000, 0.500) [4 per cell]
C (0.207, 0.250, 0.125) [8 per cell]



(7)
# Tl2NiCl2
Theoretical powder diffractogram, Cu Ka. Input: a structure optimized by DFT (GGA-PBE).

Largest 10 diffraction maxima, low angle first, 2θ = 15–90°:
d [Å]  two_theta  intensity  hkl
4.798  18.49  70  0 0 1
3.719  23.93  27  2 0 0
3.326  26.80  36  2 1 0
2.939  30.41  16  2 0 1
2.734  32.76  100  2 1 1
2.399  37.49  23  0 0 2
2.352  38.27  21  3 1 0
1.946  46.68  17  2 1 2
1.689  54.33  37  4 1 1
1.442  64.65  28  4 1 2

Crystal structure
abc: 7.438 7.438 4.798
angles: 90.00 90.00 90.00
Space group P4/mbm (No. 127)
Unique sites:
Tl (0.183, 0.317, 0.000) [4 per cell]
Ni (0.000, 0.000, 0.000) [2 per cell]
Cl (0.159, 0.659, 0.500) [4 per cell]



(8)
# K3YRe2O9
Theoretical powder diffractogram, Cu Ka. Input: a structure optimized by DFT (GGA-PBE).

Largest 10 diffraction maxima, low angle first, 2θ = 15–90°:
d [Å]  two_theta  intensity  hkl
4.091  21.72  100  1 0 1
2.903  30.80  80  0 1 2
2.883  31.02  74  1 1 0
2.045  44.28  50  2 0 2
1.835  49.69  20  1 1 3
1.824  49.99  21  2 1 1
1.680  54.63  15  1 0 4
1.668  55.05  31  1 2 2
1.664  55.19  14  3 0 0
1.441  64.67  15  2 2 0

Crystal structure
abc: 5.7653 5.7653 7.1362
angles: 90.00 90.00 120.00
Space group P-3m1 (No. 164)
Unique sites:
K (0.0000, 0.0000, 0.0000) [1 per cell]
K (0.3333, 0.6667, 0.6687) [2 per cell]
Y (0.0000, 0.0000, 0.5000) [1 per cell]
Re (0.3333, 0.6667, 0.1585) [2 per cell]
O (0.0000, 0.5000, 0.0000) [3 per cell]
O (0.1787, 0.3574, 0.3091) [6 per cell]



(9)
# HoTm5
Theoretical powder diffractogram, Cu Ka. Input: a structure optimized by DFT (GGA-PBE).

Largest 10 diffraction maxima, low angle first, 2θ = 15–90°:
d [Å]  two_theta  intensity  hkl
2.851  31.37  99  2 0 0
2.843  31.47  98  1 3 -1
2.466  36.44  100  1 3 1
1.745  52.45  59  2 0 2
1.488  62.40  56  3 3 1
1.484  62.59  28  2 6 0
1.426  65.47  12  4 0 0
1.421  65.69  12  2 6 -2
1.133  85.78  18  4 0 2
1.104  88.60  17  3 3 3

Crystal structure
abc: 6.048 10.429 6.050
angles: 90.00 109.47 90.00
Space group P2_1/m (No. 11)
Unique sites:
Ho (0.000, 0.250, 0.250) [2 per cell]
Tm (0.000, 0.083, 0.750) [4 per cell]
Tm (0.500, 0.083, 0.250) [4 per cell]
Tm (0.500, 0.250, 0.750) [2 per cell]



(10)
# Ag7TeSe2Br2
Theoretical powder diffractogram, Cu Ka. Input: a structure optimized by DFT (GGA-PBE).

Largest 10 diffraction maxima, low angle first, 2θ = 15–90°:
d [Å]  two_theta  intensity  hkl
3.804  23.38  38  1 3 0
3.545  25.12  46  0 5 1
3.504  25.42  100  0 0 2
3.071  29.08  71  1 4 1
2.577  34.81  58  1 3 2
2.553  35.15  51  1 6 1
2.287  39.39  80  2 0 0
2.133  42.37  85  1 8 1
2.040  44.42  96  1 2 3
2.019  44.89  40  1 7 2

Crystal structure
abc: 4.575 20.548 7.007
angles: 90.00 90.00 90.00
Space group Imm2 (No. 44)
Unique sites:
Ag (0.000, 0.000, 0.000) [2 per cell]
Ag (0.000, 0.077, 0.378) [4 per cell]
Ag (0.000, 0.224, 0.868) [4 per cell]
Ag (0.000, 0.424, 0.393) [4 per cell]
Te (0.000, 0.500, 0.762) [2 per cell]
Se (0.000, 0.105, 0.744) [4 per cell]
Br (0.000, 0.208, 0.266) [4 per cell]



(11)
# Ta2TiAg2S6
Theoretical powder diffractogram, Cu Ka. Input: a structure optimized by DFT (GGA-PBE).

Largest 10 diffraction maxima, low angle first, 2θ = 15–90°:
d [Å]  two_theta  intensity  hkl
5.042  17.59  38  0 2 0
4.983  17.80  53  1 1 0
3.681  24.18  55  0 0 2
2.900  30.84  48  1 3 0
2.866  31.21  63  2 0 0
2.488  36.09  27  2 0 1
2.418  37.18  100  1 3 -2
2.159  41.84  50  1 3 2
2.046  44.28  27  2 0 2
1.642  56.01  27  3 3 -2

Crystal structure
abc: 5.889 10.084 7.564
angles: 90.00 103.26 90.00
Space group C2/m (No. 12)
Unique sites:
Ta (0.000, 0.151, 0.000) [4 per cell]
Ti (0.000, 0.500, 0.000) [2 per cell]
Ag (0.000, 0.204, 0.500) [4 per cell]
S (0.107, 0.333, 0.799) [8 per cell]
S (0.115, 0.000, 0.780) [4 per cell]



(12)
# Th4HgPt
Theoretical powder diffractogram, Cu Ka. Input: a structure optimized by DFT (GGA-PBE).

Largest 10 diffraction maxima, low angle first, 2θ = 15–90°:
d [Å]  two_theta  intensity  hkl
2.935  30.45  100  2 1 1
2.584  34.72  33  1 1 2
2.393  37.59  47  3 1 0
2.327  38.70  32  2 0 2
1.752  52.20  14  4 1 1
1.701  53.91  21  2 1 3
1.592  57.91  18  4 0 2
1.526  60.68  24  3 3 2
1.367  68.67  12  5 2 1
1.256  75.74  13  3 1 4

Crystal structure
abc: 7.566 7.566 5.901
angles: 90.00 90.00 90.00
Space group P4/mcc (No. 124)
Unique sites:
Th (0.148, 0.333, 0.000) [8 per cell]
Hg (0.500, 0.500, 0.250) [2 per cell]
Pt (0.000, 0.000, 0.250) [2 per cell]



Number 1 is which compound? Rb2TcHgO4